# 1
This entry pairs a crystal structure of CeMg4Pb2 with its calculated powder X-ray diffraction pattern. Radiation: Cu Kα X-rays. Structure: a cell relaxed with PBE.
Intensities are scaled so that the largest is 100.

Most intense lines, 2θ from 10° to 80°, sorted by position:
2θ = 22.48°, I = 54, (2 1 0)
2θ = 23.69°, I = 100, (1 1 1)
2θ = 28.55°, I = 49, (2 2 0)
2θ = 29.53°, I = 80, (2 1 1)
2θ = 35.97°, I = 66, (3 0 1)
2θ = 37.43°, I = 47, (3 1 1)
2θ = 38.32°, I = 31, (0 0 2)
2θ = 42.14°, I = 38, (4 1 0)
2θ = 58.26°, I = 29, (4 1 2)
2θ = 59.65°, I = 33, (5 2 1)

Atomic structure:
```
data_CeMg4Pb2
_chemical_formula_sum 'Ce2 Mg8 Pb4'
_symmetry_space_group_name_H-M 'P 42/m n m'
_symmetry_Int_Tables_number 136
_symmetry_space_group_name_Hall '-P 4n 2n'
_cell_length_a 8.8423
_cell_length_b 8.8423
_cell_length_c 4.6974
_cell_angle_alpha 90.00
_cell_angle_beta 90.00
_cell_angle_gamma 90.00
loop_
_atom_site_label
_atom_site_type_symbol
_atom_site_fract_x
_atom_site_fract_y
_atom_site_fract_z
_atom_site_occupancy
Ce1 Ce 0.0000 0.0000 0.0000 1
Mg1 Mg 0.0984 0.3549 0.5000 1
Pb1 Pb 0.1994 0.8006 0.5000 1
```

# 2
This entry pairs a crystal structure of LaPr12Co6 with its calculated powder X-ray diffraction pattern. Radiation: Cu Kα X-rays. Structure: a cell relaxed with PBE.
Intensities are scaled so that the largest is 100.

Most intense lines, 2θ from 10° to 80°, sorted by position:
2θ = 27.66°, I = 50, (3 0 1)
2θ = 30.36°, I = 49, (2 2 2)
2θ = 32.86°, I = 100, (3 1 2)
2θ = 35.20°, I = 17, (4 0 0)
2θ = 45.34°, I = 30, (5 0 1)
2θ = 52.30°, I = 36, (5 3 0)
2θ = 53.94°, I = 14, (6 0 0)
2θ = 55.54°, I = 38, (5 2 3)
2θ = 64.61°, I = 19, (5 3 4)
2θ = 79.78°, I = 17, (8 2 2)

Atomic structure:
```
data_LaPr12Co6
_chemical_formula_sum 'La2 Pr24 Co12'
_symmetry_space_group_name_H-M 'I m -3'
_symmetry_Int_Tables_number 204
_symmetry_space_group_name_Hall '-I 2 2 3'
_cell_length_a 10.1997
_cell_length_b 10.1997
_cell_length_c 10.1997
_cell_angle_alpha 90.00
_cell_angle_beta 90.00
_cell_angle_gamma 90.00
loop_
_atom_site_label
_atom_site_type_symbol
_atom_site_fract_x
_atom_site_fract_y
_atom_site_fract_z
_atom_site_occupancy
La1 La 0.0000 0.0000 0.0000 1
Pr1 Pr 0.0000 0.3118 0.1949 1
Co1 Co 0.0000 0.1103 0.5000 1
```

# 3
This entry pairs a crystal structure of DyY2HoEr with its calculated powder X-ray diffraction pattern. Radiation: Cu Kα X-rays. Structure: a cell relaxed with PBE.
Intensities are scaled so that the largest is 100.

Most intense lines, 2θ from 10° to 80°, sorted by position:
2θ = 21.27°, I = 47, (2 0 0)
2θ = 25.84°, I = 28, (1 3 0)
2θ = 26.49°, I = 36, (2 2 0)
2θ = 28.07°, I = 25, (1 1 2)
2θ = 29.34°, I = 38, (0 2 2)
2θ = 31.51°, I = 53, (0 4 0)
2θ = 32.80°, I = 100, (2 0 2)
2θ = 36.04°, I = 56, (1 3 2)
2θ = 40.20°, I = 33, (3 3 0)
2θ = 46.13°, I = 63, (2 4 2)

Atomic structure:
```
data_DyY2HoEr
_chemical_formula_sum 'Dy4 Y8 Ho4 Er4'
_symmetry_space_group_name_H-M 'C m c m'
_symmetry_Int_Tables_number 63
_symmetry_space_group_name_Hall '-C 2c 2'
_cell_length_a 8.3556
_cell_length_b 11.3552
_cell_length_c 7.2137
_cell_angle_alpha 90.00
_cell_angle_beta 90.00
_cell_angle_gamma 90.00
loop_
_atom_site_label
_atom_site_type_symbol
_atom_site_fract_x
_atom_site_fract_y
_atom_site_fract_z
_atom_site_occupancy
Dy1 Dy 0.0000 0.2259 0.2500 1
Y1 Y 0.1914 0.0000 0.0000 1
Ho1 Ho 0.0000 0.4996 0.2500 1
Er1 Er 0.0000 0.2245 0.7500 1
```

# 4
This entry pairs a crystal structure of Na2P2PbO7 with its calculated powder X-ray diffraction pattern. Radiation: Cu Kα X-rays. Structure: a cell relaxed with PBE.
Intensities are scaled so that the largest is 100.

Most intense lines, 2θ from 10° to 80°, sorted by position:
2θ = 14.19°, I = 77, (0 1 0)
2θ = 17.56°, I = 53, (1 -1 0)
2θ = 20.03°, I = 46, (0 1 -2)
2θ = 21.60°, I = 100, (1 0 1)
2θ = 23.33°, I = 44, (1 0 -2)
2θ = 27.05°, I = 58, (1 -2 0)
2θ = 28.78°, I = 89, (0 2 -2)
2θ = 30.88°, I = 62, (-1 2 1)
2θ = 31.13°, I = 88, (1 0 -3)
2θ = 36.33°, I = 43, (2 0 -2)

Atomic structure:
```
data_Na2P2PbO7
_chemical_formula_sum 'Na4 P4 Pb2 O14'
_symmetry_space_group_name_H-M 'P -1'
_symmetry_Int_Tables_number 2
_symmetry_space_group_name_Hall '-P 1'
_cell_length_a 5.6132
_cell_length_b 7.0637
_cell_length_c 9.6155
_cell_angle_alpha 106.48
_cell_angle_beta 95.28
_cell_angle_gamma 110.15
loop_
_atom_site_label
_atom_site_type_symbol
_atom_site_fract_x
_atom_site_fract_y
_atom_site_fract_z
_atom_site_occupancy
Na1 Na 0.0756 0.2830 0.0040 1
Na2 Na 0.3469 0.6240 0.7670 1
P1 P 0.2638 0.6356 0.3621 1
P2 P 0.4816 0.8500 0.1525 1
Pb1 Pb 0.1366 0.1167 0.3676 1
O1 O 0.0303 0.6948 0.3339 1
O2 O 0.2123 0.4029 0.2643 1
O3 O 0.2319 0.0445 0.8525 1
O4 O 0.3231 0.6482 0.0207 1
O5 O 0.3451 0.0102 0.1772 1
O6 O 0.3745 0.6842 0.5250 1
O7 O 0.4987 0.2133 0.6953 1
```

# 5
This entry pairs a crystal structure of TbPm2NdSm2 with its calculated powder X-ray diffraction pattern. Radiation: Cu Kα X-rays. Structure: a cell relaxed with PBE.
Intensities are scaled so that the largest is 100.

Most intense lines, 2θ from 10° to 80°, sorted by position:
2θ = 26.43°, I = 48, (0 1 1)
2θ = 28.22°, I = 100, (2 2 0)
2θ = 29.20°, I = 24, (1 0 1)
2θ = 29.94°, I = 83, (0 6 0)
2θ = 30.05°, I = 78, (0 3 1)
2θ = 30.90°, I = 41, (1 2 1)
2θ = 33.21°, I = 68, (2 4 0)
2θ = 35.55°, I = 33, (1 4 1)
2θ = 40.40°, I = 75, (2 3 1)
2θ = 63.25°, I = 36, (4 6 0)

Atomic structure:
```
data_TbPm2NdSm2
_chemical_formula_sum 'Tb2 Pm4 Nd2 Sm4'
_symmetry_space_group_name_H-M 'P n n m'
_symmetry_Int_Tables_number 58
_symmetry_space_group_name_Hall '-P 2 2n'
_cell_length_a 6.7610
_cell_length_b 17.9082
_cell_length_c 3.4293
_cell_angle_alpha 90.00
_cell_angle_beta 90.00
_cell_angle_gamma 90.00
loop_
_atom_site_label
_atom_site_type_symbol
_atom_site_fract_x
_atom_site_fract_y
_atom_site_fract_z
_atom_site_occupancy
Tb1 Tb 0.0000 0.0000 0.0000 1
Pm1 Pm 0.2352 0.3494 0.5000 1
Nd1 Nd 0.0000 0.5000 0.0000 1
Sm1 Sm 0.2392 0.1795 0.0000 1
```

# 6
This entry pairs a crystal structure of Y4Si23 with its calculated powder X-ray diffraction pattern. Radiation: Cu Kα X-rays. Structure: a cell relaxed with PBE.
Intensities are scaled so that the largest is 100.

Most intense lines, 2θ from 10° to 80°, sorted by position:
2θ = 19.61°, I = 10, (2 1 0)
2θ = 21.51°, I = 10, (2 1 1)
2θ = 30.60°, I = 27, (2 2 2)
2θ = 31.88°, I = 42, (3 2 0)
2θ = 33.12°, I = 100, (3 2 1)
2θ = 35.48°, I = 20, (4 0 0)
2θ = 52.74°, I = 18, (5 3 0)
2θ = 54.39°, I = 18, (6 0 0)
2θ = 56.01°, I = 39, (5 3 2)
2θ = 68.08°, I = 11, (5 5 2)

Atomic structure:
```
data_Y4Si23
_chemical_formula_sum 'Y8 Si46'
_symmetry_space_group_name_H-M 'P m -3 n'
_symmetry_Int_Tables_number 223
_symmetry_space_group_name_Hall '-P 4n 2 3'
_cell_length_a 10.1209
_cell_length_b 10.1209
_cell_length_c 10.1209
_cell_angle_alpha 90.00
_cell_angle_beta 90.00
_cell_angle_gamma 90.00
loop_
_atom_site_label
_atom_site_type_symbol
_atom_site_fract_x
_atom_site_fract_y
_atom_site_fract_z
_atom_site_occupancy
Y1 Y 0.0000 0.0000 0.0000 1
Y2 Y 0.0000 0.2500 0.5000 1
Si1 Si 0.0000 0.3097 0.1168 1
Si2 Si 0.0000 0.5000 0.2500 1
Si3 Si 0.1839 0.1839 0.1839 1
```

# 7
This entry pairs a crystal structure of Mn5Bi4Rh2 with its calculated powder X-ray diffraction pattern. Radiation: Cu Kα X-rays. Structure: a cell relaxed with PBE.
Intensities are scaled so that the largest is 100.

Most intense lines, 2θ from 10° to 80°, sorted by position:
2θ = 25.14°, I = 75, (2 2 2)
2θ = 29.10°, I = 44, (4 0 0)
2θ = 31.78°, I = 32, (3 3 1)
2θ = 38.10°, I = 59, (5 1 1)
2θ = 41.63°, I = 100, (4 4 0)
2θ = 49.25°, I = 26, (6 2 2)
2θ = 57.70°, I = 17, (5 5 3)
2θ = 61.88°, I = 16, (7 3 3)
2θ = 70.30°, I = 14, (8 4 2)
2θ = 75.97°, I = 15, (8 4 4)

Atomic structure:
```
data_Mn5Bi4Rh2
_chemical_formula_sum 'Mn40 Bi32 Rh16'
_symmetry_space_group_name_H-M 'F -4 3 m'
_symmetry_Int_Tables_number 216
_symmetry_space_group_name_Hall 'F -4 2 3'
_cell_length_a 12.2729
_cell_length_b 12.2729
_cell_length_c 12.2729
_cell_angle_alpha 90.00
_cell_angle_beta 90.00
_cell_angle_gamma 90.00
loop_
_atom_site_label
_atom_site_type_symbol
_atom_site_fract_x
_atom_site_fract_y
_atom_site_fract_z
_atom_site_occupancy
Mn1 Mn 0.0000 0.0000 0.2473 1
Mn2 Mn 0.1602 0.1602 0.8398 1
Bi1 Bi 0.0000 0.0000 0.0000 1
Bi2 Bi 0.0000 0.0000 0.5000 1
Bi3 Bi 0.0391 0.2500 0.2500 1
Rh1 Rh 0.1293 0.1293 0.6293 1
```

# 8
This entry pairs a crystal structure of PrAgC2O6 with its calculated powder X-ray diffraction pattern. Radiation: Cu Kα X-rays. Structure: a cell relaxed with PBE.
Intensities are scaled so that the largest is 100.

Most intense lines, 2θ from 10° to 80°, sorted by position:
2θ = 19.84°, I = 23, (0 2 0)
2θ = 21.25°, I = 44, (2 0 0)
2θ = 24.19°, I = 36, (0 2 1)
2θ = 24.38°, I = 33, (2 0 -2)
2θ = 27.06°, I = 100, (2 2 -1)
2θ = 27.61°, I = 48, (0 0 2)
2θ = 31.63°, I = 23, (2 2 -2)
2θ = 37.08°, I = 25, (2 2 1)
2θ = 40.95°, I = 31, (2 2 -3)
2θ = 42.77°, I = 19, (0 4 1)

Atomic structure:
```
data_PrAgC2O6
_chemical_formula_sum 'Pr4 Ag4 C8 O24'
_symmetry_space_group_name_H-M 'C 1 2/c 1'
_symmetry_Int_Tables_number 15
_symmetry_space_group_name_Hall '-C 2yc'
_cell_length_a 9.8353
_cell_length_b 8.9491
_cell_length_c 7.6016
_cell_angle_alpha 90.00
_cell_angle_beta 121.78
_cell_angle_gamma 90.00
loop_
_atom_site_label
_atom_site_type_symbol
_atom_site_fract_x
_atom_site_fract_y
_atom_site_fract_z
_atom_site_occupancy
Pr1 Pr 0.0000 0.0921 0.2500 1
Ag1 Ag 0.0000 0.4298 0.7500 1
C1 C 0.2458 0.1298 0.7871 1
O1 O 0.1020 0.1119 0.6241 1
O2 O 0.1509 0.2879 0.2173 1
O3 O 0.2266 0.4456 0.0495 1
```